1.
Theoretical XRD peak list of CdHgAu2 for Cu Kα, 1.54184 Å, from a PBE-relaxed structure.
Neutral-atom scattering factors, no anomalous dispersion.

Cell and atoms:
```
data_CdHgAu2
_chemical_formula_sum 'Cd1 Hg1 Au2'
_cell_length_a 5.360
_cell_length_b 5.360
_cell_length_c 5.360
_cell_angle_alpha 134.23
_cell_angle_beta 133.36
_cell_angle_gamma 67.41
_symmetry_space_group_name_H-M 'P 1'
_symmetry_Int_Tables_number 1
_symmetry_space_group_name_Hall 'P 1'
loop_
_atom_site_label
_atom_site_type_symbol
_atom_site_fract_x
_atom_site_fract_y
_atom_site_fract_z
_atom_site_occupancy
Cd1 Cd 0.000 0.000 0.000 1
Hg1 Hg 0.251 0.751 0.500 1
Au1 Au 0.501 0.501 0.000 1
Au2 Au 0.750 0.250 0.500 1
```

The 10 most intense peaks (2θ = 10–90°), in order of rising 2θ:
2θ (°)	d (Å)	I_rel
36.31	2.474	1000
40.46	2.230	186
42.60	2.122	161
43.41	2.084	152
60.20	1.537	116
60.84	1.523	112
70.88	1.330	144
73.86	1.283	129
75.01	1.266	123
77.09	1.237	115


2.
Theoretical XRD peak list of K2TmZn2Te4 for Cu Kα, 1.54184 Å, from a PBE-relaxed structure.
Neutral-atom scattering factors, no anomalous dispersion.

Cell and atoms:
```
data_K2TmZn2Te4
_chemical_formula_sum 'K2 Tm1 Zn2 Te4'
_cell_length_a 8.413
_cell_length_b 8.413
_cell_length_c 8.297
_cell_angle_alpha 108.78
_cell_angle_beta 108.78
_cell_angle_gamma 32.46
_symmetry_space_group_name_H-M 'P 1'
_symmetry_Int_Tables_number 1
_symmetry_space_group_name_Hall 'P 1'
loop_
_atom_site_label
_atom_site_type_symbol
_atom_site_fract_x
_atom_site_fract_y
_atom_site_fract_z
_atom_site_occupancy
K1 K 0.131 0.131 0.068 1
K2 K 0.869 0.869 0.932 1
Tm1 Tm 0.000 0.000 0.500 1
Zn1 Zn 0.326 0.326 0.501 1
Zn2 Zn 0.674 0.674 0.499 1
Te1 Te 0.203 0.203 0.676 1
Te2 Te 0.490 0.490 0.741 1
Te3 Te 0.510 0.510 0.259 1
Te4 Te 0.797 0.797 0.324 1
```

The 10 most intense peaks (2θ = 10–90°), in order of rising 2θ:
2θ (°)	d (Å)	I_rel
11.32	7.817	1000
21.82	4.074	290
23.38	3.805	204
28.75	3.105	609
29.35	3.043	223
30.41	2.940	462
30.63	2.919	223
38.27	2.352	534
38.55	2.335	411
44.70	2.027	205


3.
Theoretical XRD peak list of Pm3IrPd for Cu Kα, 1.54184 Å, from a PBE-relaxed structure.
Neutral-atom scattering factors, no anomalous dispersion.

Cell and atoms:
```
data_Pm3IrPd
_chemical_formula_sum 'Pm12 Ir4 Pd4'
_cell_length_a 8.082
_cell_length_b 6.848
_cell_length_c 10.441
_cell_angle_alpha 90.00
_cell_angle_beta 112.78
_cell_angle_gamma 90.00
_symmetry_space_group_name_H-M 'P 1'
_symmetry_Int_Tables_number 1
_symmetry_space_group_name_Hall 'P 1'
loop_
_atom_site_label
_atom_site_type_symbol
_atom_site_fract_x
_atom_site_fract_y
_atom_site_fract_z
_atom_site_occupancy
Pm1 Pm 0.153 0.049 0.321 1
Pm2 Pm 0.153 0.451 0.821 1
Pm3 Pm 0.233 0.507 0.508 1
Pm4 Pm 0.233 0.993 0.008 1
Pm5 Pm 0.339 0.528 0.190 1
Pm6 Pm 0.339 0.972 0.690 1
Pm7 Pm 0.661 0.028 0.310 1
Pm8 Pm 0.661 0.472 0.810 1
Pm9 Pm 0.767 0.007 0.992 1
Pm10 Pm 0.767 0.493 0.492 1
Pm11 Pm 0.847 0.549 0.179 1
Pm12 Pm 0.847 0.951 0.679 1
Ir1 Ir 0.031 0.201 0.557 1
Ir2 Ir 0.031 0.299 0.057 1
Ir3 Ir 0.969 0.701 0.943 1
Ir4 Ir 0.969 0.799 0.443 1
Pd1 Pd 0.485 0.706 0.970 1
Pd2 Pd 0.485 0.794 0.470 1
Pd3 Pd 0.515 0.206 0.530 1
Pd4 Pd 0.515 0.294 0.030 1
```

The 10 most intense peaks (2θ = 10–90°), in order of rising 2θ:
2θ (°)	d (Å)	I_rel
18.43	4.814	204
27.25	3.273	193
30.77	2.906	420
31.73	2.820	974
35.61	2.521	1000
35.73	2.513	214
39.69	2.271	165
44.86	2.021	293
48.96	1.860	233
68.58	1.368	155


4.
Theoretical XRD peak list of VSi2 for Cu Kα, 1.54184 Å, from a PBE-relaxed structure.
Neutral-atom scattering factors, no anomalous dispersion.

Cell and atoms:
```
data_VSi2
_chemical_formula_sum 'V3 Si6'
_cell_length_a 4.565
_cell_length_b 4.565
_cell_length_c 6.370
_cell_angle_alpha 90.00
_cell_angle_beta 90.00
_cell_angle_gamma 120.00
_symmetry_space_group_name_H-M 'P 1'
_symmetry_Int_Tables_number 1
_symmetry_space_group_name_Hall 'P 1'
loop_
_atom_site_label
_atom_site_type_symbol
_atom_site_fract_x
_atom_site_fract_y
_atom_site_fract_z
_atom_site_occupancy
V1 V 0.000 0.500 0.167 1
V2 V 0.500 0.000 0.500 1
V3 V 0.500 0.500 0.833 1
Si1 Si 0.163 0.326 0.500 1
Si2 Si 0.163 0.837 0.833 1
Si3 Si 0.326 0.163 0.167 1
Si4 Si 0.674 0.837 0.167 1
Si5 Si 0.837 0.163 0.833 1
Si6 Si 0.837 0.674 0.500 1
```

The 10 most intense peaks (2θ = 10–90°), in order of rising 2θ:
2θ (°)	d (Å)	I_rel
26.53	3.359	154
39.48	2.283	151
42.05	2.149	1000
42.58	2.123	361
49.10	1.855	617
72.35	1.306	185
73.36	1.291	176
78.55	1.218	146
84.98	1.141	134
87.73	1.112	112